For AcMn3Ga4O12, a cell relaxed with PBE+U gives the calculated PXRD pattern in this record (Cu Kα X-rays).
Neutral-atom scattering factors, no anomalous dispersion.

a b c (Å): 7.555 7.555 7.555
angles (deg): 90.00 90.00 90.00
Space group Im-3 (No. 204)
Inequivalent atoms, fractional coordinates:
Ac 0.000 0.000 0.000
Mn 0.000 0.000 0.500
Ga 0.250 0.250 0.250
O 0.000 0.311 0.178

Main lines, sorted by position (2θ from 10° to 90°):
2θ 16.6, 5.342 Å, I 33, hkl 1 1 0
2θ 28.9, 3.084 Å, I 16, hkl 2 1 1
2θ 33.6, 2.671 Å, I 100, hkl 2 2 0
2θ 37.7, 2.389 Å, I 16, hkl 3 0 1
2θ 44.9, 2.019 Å, I 18, hkl 3 1 2
2θ 48.2, 1.889 Å, I 24, hkl 4 0 0
2θ 60.0, 1.542 Å, I 48, hkl 4 2 2
2θ 62.7, 1.482 Å, I 8, hkl 4 3 1
2θ 70.5, 1.336 Å, I 13, hkl 4 4 0
2θ 80.4, 1.195 Å, I 17, hkl 6 2 0